Structure and theoretical powder X-ray diffraction pattern of LiHgS2O8 (a cell relaxed with PBE; Cu Kα, 1.54184 Å).
Lines closer than 0.1° are merged.

Top 6 peaks for 2θ from 15° to 90°, sorted by position:
two_theta	I (rel.)
21.41	75
27.07	100
36.76	64
39.04	61
40.45	30
45.26	30

Cell and atoms:
```
data_LiHgS2O8
_chemical_formula_sum 'Li3 Hg3 S6 O24'
_cell_length_a 4.8879
_cell_length_b 4.8879
_cell_length_c 20.9867
_cell_angle_alpha 90.00
_cell_angle_beta 90.00
_cell_angle_gamma 120.00
_symmetry_space_group_name_H-M 'R 3 2'
_symmetry_Int_Tables_number 155
_symmetry_space_group_name_Hall 'R 3 2"'
loop_
_atom_site_label
_atom_site_type_symbol
_atom_site_fract_x
_atom_site_fract_y
_atom_site_fract_z
_atom_site_occupancy
Li1 Li 0.0000 0.0000 0.0000 1
Hg1 Hg 0.0000 0.0000 0.5000 1
S1 S 0.0000 0.0000 0.2461 1
O1 O 0.0000 0.0000 0.1742 1
O2 O 0.0131 0.2968 0.2674 1
```

Structure and theoretical powder X-ray diffraction pattern of ZrTiP (a cell relaxed with PBE; Cu Kα, 1.54184 Å).
Lines closer than 0.1° are merged.

Top 6 peaks for 2θ from 15° to 90°, sorted by position:
two_theta	I (rel.)
35.99	100
36.09	40
36.88	22
39.06	25
39.19	54
50.69	27

Cell and atoms:
```
data_ZrTiP
_chemical_formula_sum 'Zr6 Ti6 P6'
_cell_length_a 6.8858
_cell_length_b 3.6016
_cell_length_c 12.0088
_cell_angle_alpha 90.00
_cell_angle_beta 90.03
_cell_angle_gamma 90.00
_symmetry_space_group_name_H-M 'P 1 21/m 1'
_symmetry_Int_Tables_number 11
_symmetry_space_group_name_Hall '-P 2yb'
loop_
_atom_site_label
_atom_site_type_symbol
_atom_site_fract_x
_atom_site_fract_y
_atom_site_fract_z
_atom_site_occupancy
Zr1 Zr 0.0358 0.2500 0.3813 1
Zr2 Zr 0.1465 0.2500 0.0858 1
Zr3 Zr 0.4629 0.7500 0.7161 1
Ti1 Ti 0.1346 0.2500 0.7978 1
Ti2 Ti 0.3636 0.7500 0.4577 1
Ti3 Ti 0.4933 0.7500 0.0881 1
P1 P 0.2366 0.7500 0.2503 1
P2 P 0.2542 0.7500 0.9236 1
P3 P 0.2578 0.2500 0.5896 1
```

Structure and theoretical powder X-ray diffraction pattern of SmEr6Tl6 (a cell relaxed with PBE; Cu Kα, 1.54184 Å).
Lines closer than 0.1° are merged.

Top 6 peaks for 2θ from 15° to 90°, sorted by position:
two_theta	I (rel.)
27.89	25
32.31	55
32.80	66
34.22	28
36.69	100
57.62	32

Cell and atoms:
```
data_SmEr6Tl6
_chemical_formula_sum 'Sm1 Er6 Tl6'
_cell_length_a 6.3985
_cell_length_b 6.3985
_cell_length_c 10.4820
_cell_angle_alpha 90.00
_cell_angle_beta 90.00
_cell_angle_gamma 120.00
_symmetry_space_group_name_H-M 'P 6/m m m'
_symmetry_Int_Tables_number 191
_symmetry_space_group_name_Hall '-P 6 2'
loop_
_atom_site_label
_atom_site_type_symbol
_atom_site_fract_x
_atom_site_fract_y
_atom_site_fract_z
_atom_site_occupancy
Sm1 Sm 0.0000 0.0000 0.0000 1
Er1 Er 0.0000 0.0000 0.3383 1
Er2 Er 0.3333 0.6667 0.0000 1
Er3 Er 0.3333 0.6667 0.5000 1
Tl1 Tl 0.0000 0.5000 0.2459 1
```